1.
Diffraction record for Cs2NiBr2Cl4. The powder XRD pattern is simulated, not measured: it uses a PBE-relaxed structure and Cu Kα (λ = 1.5418 Å).
Neutral-atom scattering factors, no anomalous dispersion.

Main lines, most intense first (5 to 70 degrees two-theta):
Position (°2θ)  I/Imax
29.28  100
33.21  54
23.32  49
49.28  33
14.52  32
35.35  25
56.94  24
24.07  21
42.78  20
47.67  17

Structure:
a = 7.4094 Å, b = 7.4094 Å, c = 7.4094 Å
α = 118.02°, β = 118.02°, γ = 93.47°
Fractional coordinates of all 9 atoms:
Cs 0.2500 0.7500 0.5000
Cs 0.7500 0.2500 0.5000
Ni 0.0000 0.0000 0.0000
Br 0.2397 0.2397 0.0000
Br 0.7603 0.7603 0.0000
Cl 0.2085 0.2085 0.4170
Cl 0.2085 0.7915 0.0000
Cl 0.7915 0.2085 0.0000
Cl 0.7915 0.7915 0.5830

2.
Diffraction record for Cs2NiBr4Cl2. The powder XRD pattern is simulated, not measured: it uses a PBE-relaxed structure and Cu Kα (λ = 1.5418 Å).
Neutral-atom scattering factors, no anomalous dispersion.

Main lines, most intense first (5 to 70 degrees two-theta):
Position (°2θ)  I/Imax
28.80  100
33.94  49
23.24  38
47.50  32
14.29  28
32.23  26
57.62  23
48.76  16
59.66  15
41.54  14

Structure:
a = 7.6661 Å, b = 7.6661 Å, c = 7.6661 Å
α = 121.68°, β = 121.68°, γ = 87.12°
Fractional coordinates of all 9 atoms:
Cs 0.2500 0.7500 0.5000
Cs 0.7500 0.2500 0.5000
Ni 0.0000 0.0000 0.0000
Br 0.2300 0.2300 0.4600
Br 0.2300 0.7700 0.0000
Br 0.7700 0.2300 0.0000
Br 0.7700 0.7700 0.5400
Cl 0.2019 0.2019 0.0000
Cl 0.7981 0.7981 0.0000

3.
Diffraction record for Cs8BrCl3O2. The powder XRD pattern is simulated, not measured: it uses a PBE-relaxed structure and Cu Kα (λ = 1.5418 Å).
Neutral-atom scattering factors, no anomalous dispersion.

Main lines, most intense first (5 to 70 degrees two-theta):
Position (°2θ)  I/Imax
26.01  100
14.32  45
28.86  34
24.95  25
33.20  25
44.02  23
38.49  21
53.46  17
44.52  14
21.54  14

Structure:
a = 8.2289 Å, b = 8.2289 Å, c = 12.3973 Å
α = 90.00°, β = 90.00°, γ = 120.00°
Fractional coordinates of all 14 atoms:
Cs 0.1630 0.3260 0.2727
Cs 0.1630 0.8370 0.2727
Cs 0.3260 0.1630 0.7273
Cs 0.3333 0.6667 0.9730
Cs 0.6667 0.3333 0.0270
Cs 0.6740 0.8370 0.2727
Cs 0.8370 0.1630 0.7273
Cs 0.8370 0.6740 0.7273
Br 0.0000 0.0000 0.5000
Cl 0.0000 0.0000 0.0000
Cl 0.3333 0.6667 0.7029
Cl 0.6667 0.3333 0.2971
O 0.3333 0.6667 0.1881
O 0.6667 0.3333 0.8119

4.
Diffraction record for Cs6BrClO2. The powder XRD pattern is simulated, not measured: it uses a PBE-relaxed structure and Cu Kα (λ = 1.5418 Å).
Neutral-atom scattering factors, no anomalous dispersion.

Main lines, most intense first (5 to 70 degrees two-theta):
Position (°2θ)  I/Imax
26.38  100
25.29  88
30.64  80
26.68  51
45.81  39
33.33  27
44.08  26
51.24  26
56.28  19
46.28  17

Structure:
a = 8.2180 Å, b = 8.2180 Å, c = 8.2180 Å
α = 60.56°, β = 60.56°, γ = 60.56°
Fractional coordinates of all 10 atoms:
Cs 0.0022 0.4217 0.5760
Cs 0.0600 0.9368 0.5088
Cs 0.4217 0.5760 0.0022
Cs 0.5088 0.0600 0.9368
Cs 0.5760 0.0022 0.4217
Cs 0.9368 0.5088 0.0600
Br 0.4885 0.4885 0.4885
Cl 0.9774 0.9774 0.9774
O 0.2353 0.2353 0.2353
O 0.7338 0.7338 0.7338

5.
Diffraction record for Cs2OsBr2Cl4. The powder XRD pattern is simulated, not measured: it uses a PBE-relaxed structure and Cu Kα (λ = 1.5418 Å).
Neutral-atom scattering factors, no anomalous dispersion.

Main lines, most intense first (5 to 70 degrees two-theta):
Position (°2θ)  I/Imax
14.33  100
23.29  70
33.17  69
28.88  52
23.60  50
48.29  45
34.07  33
41.68  31
27.45  24
47.62  23

Structure:
a = 7.5419 Å, b = 7.5419 Å, c = 7.5419 Å
α = 119.15°, β = 119.15°, γ = 91.48°
Fractional coordinates of all 9 atoms:
Cs 0.2500 0.7500 0.5000
Cs 0.7500 0.2500 0.5000
Os 0.0000 0.0000 0.0000
Br 0.2394 0.2394 0.0000
Br 0.7606 0.7606 0.0000
Cl 0.2180 0.2180 0.4360
Cl 0.2180 0.7820 0.0000
Cl 0.7820 0.2180 0.0000
Cl 0.7820 0.7820 0.5640

6.
Diffraction record for Cs2PbBr2Cl4. The powder XRD pattern is simulated, not measured: it uses a PBE-relaxed structure and Cu Kα (λ = 1.5418 Å).
Neutral-atom scattering factors, no anomalous dispersion.

Main lines, most intense first (5 to 70 degrees two-theta):
Position (°2θ)  I/Imax
13.98  100
32.07  90
22.52  86
23.13  63
47.27  59
28.18  58
33.78  40
40.98  38
26.61  33
45.98  32

Structure:
a = 7.7023 Å, b = 7.7023 Å, c = 7.7023 Å
α = 118.34°, β = 118.34°, γ = 92.90°
Fractional coordinates of all 9 atoms:
Cs 0.2500 0.7500 0.5000
Cs 0.7500 0.2500 0.5000
Pb 0.0000 0.0000 0.0000
Br 0.2555 0.2555 0.0000
Br 0.7445 0.7445 0.0000
Cl 0.2324 0.2324 0.4648
Cl 0.2324 0.7676 0.0000
Cl 0.7676 0.2324 0.0000
Cl 0.7676 0.7676 0.5352

7.
Diffraction record for Cs3Pb2Br4Cl3. The powder XRD pattern is simulated, not measured: it uses a PBE-relaxed structure and Cu Kα (λ = 1.5418 Å).
Neutral-atom scattering factors, no anomalous dispersion.

Main lines, most intense first (5 to 70 degrees two-theta):
Position (°2θ)  I/Imax
21.40  100
21.54  71
43.63  56
31.17  55
29.71  54
30.12  43
11.93  37
21.03  36
43.89  30
37.25  30

Structure:
a = 15.4073 Å, b = 15.4073 Å, c = 15.4073 Å
α = 158.53°, β = 31.30°, γ = 157.49°
Fractional coordinates of all 12 atoms:
Cs 0.0000 0.0000 0.0000
Cs 0.0758 0.8959 0.1798
Cs 0.7161 0.8959 0.8202
Pb 0.3075 0.9060 0.4015
Pb 0.5045 0.9060 0.5985
Br 0.2146 0.9134 0.3012
Br 0.6123 0.9134 0.6988
Br 0.8102 0.4039 0.4064
Br 0.9975 0.4039 0.5936
Cl 0.2873 0.3864 0.9009
Cl 0.3817 0.8817 0.5000
Cl 0.4856 0.3864 0.0991

8.
Diffraction record for Cs3Pb2Br3Cl4. The powder XRD pattern is simulated, not measured: it uses a PBE-relaxed structure and Cu Kα (λ = 1.5418 Å).
Neutral-atom scattering factors, no anomalous dispersion.

Main lines, most intense first (5 to 70 degrees two-theta):
Position (°2θ)  I/Imax
21.45  100
21.65  91
31.21  71
29.81  62
21.16  52
37.15  48
30.40  47
43.71  43
12.04  41
54.16  40

Structure:
a = 15.2771 Å, b = 15.2771 Å, c = 15.2771 Å
α = 157.37°, β = 31.50°, γ = 158.38°
Fractional coordinates of all 12 atoms:
Cs 0.0000 0.0000 0.0000
Cs 0.1788 0.9953 0.1835
Cs 0.8118 0.9953 0.8165
Pb 0.3942 0.9992 0.3950
Pb 0.6043 0.9992 0.6050
Br 0.3991 0.4972 0.9020
Br 0.4989 0.9989 0.5000
Br 0.5952 0.4972 0.0980
Cl 0.1054 0.4993 0.6061
Cl 0.3034 0.0039 0.2995
Cl 0.7044 0.0039 0.7005
Cl 0.8931 0.4993 0.3939

- Number 2 is which compound?
  Cs2NiBr4Cl2

- Number 1 is which compound?
  Cs2NiBr2Cl4